[1]
Diffraction record for Pu2SbRu. The powder X-ray diffraction pattern is calculated, not measured: it uses DFT lattice parameters and positions (GGA-PBE) and Cu Kα (weighted mean of Kα1 and Kα2).
Intensities are scaled so that the largest is 100.

Principal peaks in the range 2θ from 5° to 70°, in order of rising 2θ:
Position (°2θ)	I_rel	hkl
20.5	11	0 0 1
28.2	11	1 1 0
35.1	100	1 1 1
40.3	34	2 0 0
41.6	16	0 0 2
45.6	6	2 0 1
51.0	5	1 1 2
58.3	12	2 2 0
59.3	22	2 0 2
69.9	28	3 1 1

Unit cell a=4.4767 b=4.4767 c=4.3384 alpha=90.00 beta=90.00 gamma=90.00
Space group P4/mmm (No. 123)
One atom of each set of equivalent atoms:
Pu1 0.0000 0.5000 0.0000 (multiplicity 2)
Sb1 0.0000 0.0000 0.5000 (multiplicity 1)
Ru1 0.5000 0.5000 0.5000 (multiplicity 1)

=====

[2]
Diffraction record for Tb5Sc6. The powder X-ray diffraction pattern is calculated, not measured: it uses DFT lattice parameters and positions (GGA-PBE) and Cu Kα (weighted mean of Kα1 and Kα2).
Intensities are scaled so that the largest is 100.

Principal peaks in the range 2θ from 5° to 70°, in order of rising 2θ:
Position (°2θ)	I_rel	hkl
13.0	52	1 1 0
22.1	72	2 0 0
30.2	72	1 3 1
30.8	28	0 0 2
32.0	73	2 0 -2
32.1	100	0 4 1
34.1	34	3 1 0
36.4	78	2 4 -1
36.7	28	1 1 2
38.7	30	3 3 -1

Unit cell a=8.4679 b=12.7177 c=6.0965 alpha=90.00 beta=107.93 gamma=90.00
Space group C2/m (No. 12)
One atom of each set of equivalent atoms:
Tb1 0.0000 0.0000 0.0000 (multiplicity 2)
Tb2 0.0000 0.1361 0.5000 (multiplicity 4)
Tb3 0.0000 0.2643 0.0000 (multiplicity 4)
Sc1 0.1542 0.5000 0.1959 (multiplicity 4)
Sc2 0.1709 0.3783 0.6730 (multiplicity 8)

=====

[3]
Diffraction record for ZnBrO. The powder X-ray diffraction pattern is calculated, not measured: it uses DFT lattice parameters and positions (GGA-PBE) and Cu Kα (weighted mean of Kα1 and Kα2).
Intensities are scaled so that the largest is 100.

Principal peaks in the range 2θ from 5° to 70°, in order of rising 2θ:
Position (°2θ)	I_rel	hkl
26.0	100	0 0 2
31.1	86	1 0 0
34.0	42	1 1 0
40.8	39	1 0 2
41.1	40	1 0 -2
42.9	19	1 1 2
43.6	20	1 1 -2
53.4	25	1 -1 0
59.0	16	2 1 0
60.4	17	1 -1 2

Unit cell a=3.1473 b=3.1479 c=6.8602 alpha=89.23 beta=89.30 gamma=65.99
Space group P1 (No. 1)
One atom of each set of equivalent atoms:
Zn1 0.0000 0.0000 0.0000 (multiplicity 1)
Br1 0.0239 0.0318 0.5162 (multiplicity 1)
O1 0.6414 0.6413 0.0061 (multiplicity 1)

=====

[4]
Diffraction record for Nd4Ga16Rh3. The powder X-ray diffraction pattern is calculated, not measured: it uses DFT lattice parameters and positions (GGA-PBE) and Cu Kα (weighted mean of Kα1 and Kα2).
Intensities are scaled so that the largest is 100.

Principal peaks in the range 2θ from 5° to 70°, in order of rising 2θ:
Position (°2θ)	I_rel	hkl
20.2	17	1 1 0
31.1	34	1 1 3
32.8	35	2 0 2
37.4	100	2 0 3
39.6	24	0 0 5
41.0	78	2 2 0
43.1	25	2 0 4
52.4	13	3 1 3
58.3	28	2 2 5
59.4	24	4 0 0

Unit cell a=6.2226 b=6.2226 c=11.3907 alpha=90.00 beta=90.00 gamma=90.00
Space group P4/mmm (No. 123)
One atom of each set of equivalent atoms:
Nd1 0.0000 0.5000 0.1938 (multiplicity 4)
Ga1 0.0000 0.0000 0.1960 (multiplicity 2)
Ga2 0.2128 0.2128 0.0000 (multiplicity 4)
Ga3 0.2511 0.2511 0.3830 (multiplicity 8)
Ga4 0.5000 0.5000 0.2243 (multiplicity 2)
Rh1 0.0000 0.5000 0.5000 (multiplicity 2)
Rh2 0.5000 0.5000 0.0000 (multiplicity 1)